(1)
This entry pairs a crystal structure of SmScNi with its simulated XRD peak list. Radiation: a wavelength of 1.5418 Å. Structure: a crystal structure in Alexandria, relaxed with PBE.

Principal peaks in the range 2θ = 5–70°, by angle:
2θ (°)  d [Å]  I (rel.)
27.29  3.267  53
31.18  2.868  73
32.75  2.734  100
34.16  2.624  55
40.09  2.249  48
42.13  2.145  60

```
SmScNi
1.0
6.8179 -1.7414 0.0000
6.8179 1.7414 0.0000
-3.1246 0.0000 5.7393
Sm Sc Ni
2 2 2
direct
0.2163 0.2163 0.2163 Sm
0.7837 0.7837 0.7837 Sm
0.4998 0.4998 0.2602 Sc
0.5002 0.5002 0.7398 Sc
0.1078 0.1078 0.6076 Ni
0.8922 0.8922 0.3924 Ni
```

(2)
This entry pairs a crystal structure of DyHfIn with its simulated XRD peak list. Radiation: a wavelength of 1.5418 Å. Structure: a crystal structure in Alexandria, relaxed with PBE.

Principal peaks in the range 2θ = 5–70°, by angle:
2θ (°)  d [Å]  I (rel.)
20.33  4.368  32
28.45  3.137  49
34.39  2.608  85
35.30  2.543  79
35.45  2.532  100
40.27  2.239  65

```
DyHfIn
1.0
0.0000 4.3684 6.2151
2.8733 0.0000 6.2151
2.8733 4.3684 0.0000
Dy Hf In
2 2 2
direct
0.1771 0.8229 0.1771 Dy
0.8229 0.1771 0.8229 Dy
0.2500 0.2500 0.2500 Hf
0.7500 0.7500 0.7500 Hf
0.3810 0.3810 0.6190 In
0.6190 0.6190 0.3810 In
```